[1]
Structure and calculated X-ray powder pattern of CsSmGeSe3 (a GGA-PBE-relaxed structure; copper Kα).

Structure:
Cell lengths 4.4872, 15.7009, 11.5593 Å; angles 90.00, 90.00, 90.00 degrees
Space group Cmcm (No. 63)
Asymmetric unit:
Cs (0.0000, 0.2430, 0.2500)
Sm (0.0000, 0.5000, 0.0000)
Ge (0.0000, 0.0394, 0.7500)
Se (0.0000, 0.1204, 0.5458)
Se (0.0000, 0.4456, 0.7500)

Largest 10 diffraction maxima, low angle first, 2θ from 5° to 70°:
11.27°, intensity 601, (0 2 0)
19.07°, intensity 368, (0 2 2)
26.16°, intensity 453, (1 3 0)
27.29°, intensity 1000, (1 3 1)
30.46°, intensity 508, (1 3 2)
30.94°, intensity 562, (0 0 4)
38.29°, intensity 518, (1 5 2)
40.19°, intensity 387, (2 0 0)
47.53°, intensity 364, (1 3 5)
51.34°, intensity 265, (1 7 3)

[2]
Structure and calculated X-ray powder pattern of CsTaGeSe5 (a GGA-PBE-relaxed structure; copper Kα).

Structure:
Cell lengths 7.3751, 7.7542, 9.9542 Å; angles 68.10, 77.35, 74.77 degrees
Space group P-1 (No. 2)
Asymmetric unit:
Cs (0.1052, 0.3534, 0.3130)
Ta (0.2605, 0.9728, 0.9970)
Ge (0.4769, 0.7023, 0.3745)
Se (0.0646, 0.7759, 0.9666)
Se (0.1826, 0.8675, 0.2869)
Se (0.2844, 0.1133, 0.7109)
Se (0.4199, 0.6147, 0.6405)
Se (0.4267, 0.2480, 0.9844)

Largest 10 diffraction maxima, low angle first, 2θ from 5° to 70°:
9.67°, intensity 564, (0 0 1)
12.56°, intensity 343, (0 1 0)
13.03°, intensity 1000, (0 1 1)
18.28°, intensity 368, (0 1 -1)
23.81°, intensity 563, (0 2 1)
25.82°, intensity 422, (2 0 1)
29.28°, intensity 983, (0 0 3)
29.84°, intensity 443, (2 2 1)
38.81°, intensity 348, (2 3 1)
39.60°, intensity 441, (2 -2 0)